# MgTiCrP3O12
Computed PXRD pattern, copper Kα. Input: a cell relaxed with PBE+U.

Main lines, sorted by position (5 to 70 degrees two-theta):
2θ (°)  d_spacing  Rel. int.
20.66  4.300  40.2
20.88  4.255  21.8
24.38  3.651  100.0
29.54  3.024  16.0
32.09  2.789  15.5
33.26  2.694  38.7
36.19  2.482  21.6
47.70  1.907  20.0
49.96  1.825  15.3
56.66  1.625  17.9

Structural model:
abc: 8.5993 8.5993 20.7362
angles: 90.00 90.00 120.00
Space group R3c (No. 161, hexagonal axes)
Symmetry-distinct sites (fractional):
Mg 0.0000 0.0000 0.0000 x6
Ti 0.0000 0.0000 0.3545 x6
Cr 0.0000 0.0000 0.1404 x6
P 0.0395 0.3722 0.4145 x18
O 0.0049 0.1912 0.8091 x18
O 0.0204 0.1832 0.4242 x18
O 0.1413 0.4662 0.3542 x18
O 0.1663 0.4842 0.7414 x18